# HoFe2Co9
Computed powder diffraction line list, λ = 1.5418 Å (Cu Kα). Input: a crystal structure in Alexandria, relaxed with PBE.
Peak positions follow from Bragg's law for the DFT cell and can differ from measured ones.

The 6 most intense peaks (2θ from 10° to 80°), sorted by position:
hkl 2 2 1, 2θ = 37.14°, rel. 36.7
hkl 3 1 1, 2θ = 40.53°, rel. 100.0
hkl 2 0 2, 2θ = 44.91°, rel. 40.5
hkl 3 2 1, 2θ = 45.22°, rel. 28.8
hkl 2 1 2, 2θ = 46.40°, rel. 53.7
hkl 4 1 0, 2θ = 46.79°, rel. 41.5

Atomic structure:
a = 8.0049 Å, b = 8.0049 Å, c = 4.6740 Å
α = 90.00°, β = 90.00°, γ = 90.00°
Space group P4/mbm (No. 127)
Unique sites:
Ho 0.0000 0.0000 0.0000 [2 per cell]
Fe 0.1156 0.3844 0.0000 [4 per cell]
Co 0.0000 0.5000 0.5000 [2 per cell]
Co 0.0649 0.2130 0.5000 [8 per cell]
Co 0.1788 0.6788 0.2347 [8 per cell]

---

# Tb2SmGe3Pt4
Computed powder diffraction line list, λ = 1.5418 Å (Cu Kα). Input: a crystal structure in Alexandria, relaxed with PBE.
Peak positions follow from Bragg's law for the DFT cell and can differ from measured ones.

The 6 most intense peaks (2θ from 10° to 80°), sorted by position:
hkl 1 0 2, 2θ = 26.15°, rel. 17.8
hkl 1 1 2, 2θ = 33.68°, rel. 100.0
hkl 1 0 4, 2θ = 38.07°, rel. 19.6
hkl 2 0 0, 2θ = 42.45°, rel. 49.3
hkl 1 1 4, 2θ = 43.80°, rel. 25.3
hkl 3 1 2, 2θ = 72.07°, rel. 22.4

Atomic structure:
a = 4.2586 Å, b = 4.2586 Å, c = 11.3685 Å
α = 90.00°, β = 90.00°, γ = 90.00°
Space group P-4m2 (No. 115)
Unique sites:
Tb 0.0000 0.5000 0.2164 [2 per cell]
Sm 0.0000 0.0000 0.5000 [1 per cell]
Ge 0.0000 0.5000 0.8762 [2 per cell]
Ge 0.5000 0.5000 0.5000 [1 per cell]
Pt 0.0000 0.0000 0.0000 [1 per cell]
Pt 0.0000 0.5000 0.6629 [2 per cell]
Pt 0.5000 0.5000 0.0000 [1 per cell]

---

# Ac6Co3Pt
Computed powder diffraction line list, λ = 1.5418 Å (Cu Kα). Input: a crystal structure in Alexandria, relaxed with PBE.
Peak positions follow from Bragg's law for the DFT cell and can differ from measured ones.

The 6 most intense peaks (2θ from 10° to 80°), sorted by position:
hkl 2 0 2, 2θ = 25.62°, rel. 36.5
hkl 2 1 -1, 2θ = 25.80°, rel. 32.4
hkl 2 0 -4, 2θ = 27.72°, rel. 45.4
hkl 4 0 -2, 2θ = 29.51°, rel. 100.0
hkl 0 1 3, 2θ = 30.84°, rel. 81.0
hkl 0 2 0, 2θ = 43.03°, rel. 39.5

Atomic structure:
a = 12.1572 Å, b = 4.2042 Å, c = 13.0383 Å
α = 90.00°, β = 112.89°, γ = 90.00°
Space group P2_1/m (No. 11)
Unique sites:
Ac 0.0503 0.2500 0.3968 [2 per cell]
Ac 0.0952 0.7500 0.9312 [2 per cell]
Ac 0.2444 0.7500 0.2628 [2 per cell]
Ac 0.2460 0.2500 0.7717 [2 per cell]
Ac 0.4066 0.2500 0.5661 [2 per cell]
Ac 0.4334 0.2500 0.1040 [2 per cell]
Co 0.0028 0.2500 0.7740 [2 per cell]
Co 0.3355 0.7500 0.9435 [2 per cell]
Co 0.4079 0.2500 0.3371 [2 per cell]
Pt 0.2005 0.7500 0.5735 [2 per cell]

---

# TaTi2Sn2H2
Computed powder diffraction line list, λ = 1.5418 Å (Cu Kα). Input: a crystal structure in Alexandria, relaxed with PBE.
Peak positions follow from Bragg's law for the DFT cell and can differ from measured ones.

The 6 most intense peaks (2θ from 10° to 80°), sorted by position:
hkl 1 0 1, 2θ = 24.57°, rel. 41.5
hkl 1 1 0, 2θ = 33.89°, rel. 74.5
hkl 1 0 5, 2θ = 39.21°, rel. 100.0
hkl 2 0 0, 2θ = 48.68°, rel. 27.3
hkl 2 1 5, 2θ = 64.21°, rel. 46.9
hkl 1 1 10, 2θ = 74.40°, rel. 14.8

Atomic structure:
a = 3.7411 Å, b = 3.7411 Å, c = 14.5540 Å
α = 90.00°, β = 90.00°, γ = 90.00°
Space group I4/mmm (No. 139)
Unique sites:
Ta 0.0000 0.0000 0.0000 [2 per cell]
Ti 0.0000 0.0000 0.4007 [4 per cell]
Sn 0.0000 0.0000 0.1953 [4 per cell]
H 0.0000 0.5000 0.0000 [4 per cell]

---

# Ce5Th8Sc
Computed powder diffraction line list, λ = 1.5418 Å (Cu Kα). Input: a crystal structure in Alexandria, relaxed with PBE.
Peak positions follow from Bragg's law for the DFT cell and can differ from measured ones.

The 6 most intense peaks (2θ from 10° to 80°), sorted by position:
hkl 1 3 -1, 2θ = 25.68°, rel. 39.6
hkl 3 1 0, 2θ = 31.83°, rel. 65.1
hkl 2 0 -3, 2θ = 32.36°, rel. 38.7
hkl 1 3 -2, 2θ = 32.91°, rel. 100.0
hkl 3 3 -1, 2θ = 33.13°, rel. 66.1
hkl 4 2 -2, 2θ = 33.34°, rel. 44.8

Atomic structure:
a = 12.2068 Å, b = 11.3490 Å, c = 8.6925 Å
α = 90.00°, β = 134.43°, γ = 90.00°
Space group C2 (No. 5)
Unique sites:
Ce 0.0000 0.0000 0.0000 [2 per cell]
Ce 0.1383 0.5586 0.3275 [4 per cell]
Ce 0.1944 0.4355 0.1076 [4 per cell]
Th 0.0522 0.2502 0.2579 [4 per cell]
Th 0.0710 0.8369 0.3878 [4 per cell]
Th 0.1814 0.6117 0.7645 [4 per cell]
Th 0.2157 0.7734 0.1618 [4 per cell]
Sc 0.0000 0.0807 0.5000 [2 per cell]

---

# Tb2Ho5Tl
Computed powder diffraction line list, λ = 1.5418 Å (Cu Kα). Input: a crystal structure in Alexandria, relaxed with PBE.
Peak positions follow from Bragg's law for the DFT cell and can differ from measured ones.

The 6 most intense peaks (2θ from 10° to 80°), sorted by position:
hkl 4 2 0, 2θ = 31.85°, rel. 100.0
hkl 4 0 1, 2θ = 33.10°, rel. 59.6
hkl 8 0 0, 2θ = 34.15°, rel. 35.5
hkl 0 2 1, 2θ = 37.35°, rel. 63.5
hkl 8 2 1, 2θ = 54.54°, rel. 18.8
hkl 10 2 -1, 2θ = 54.66°, rel. 18.4

Atomic structure:
a = 21.2881 Å, b = 6.6510 Å, c = 3.5385 Å
α = 90.00°, β = 99.41°, γ = 90.00°
Space group C2/m (No. 12)
Unique sites:
Tb 0.2392 0.0000 0.2369 [4 per cell]
Ho 0.0000 0.0000 0.0000 [2 per cell]
Ho 0.1146 0.2498 0.6132 [8 per cell]
Tl 0.0000 0.5000 0.0000 [2 per cell]

---

# CaTi8S16
Computed powder diffraction line list, λ = 1.5418 Å (Cu Kα). Input: a crystal structure in Alexandria, relaxed with PBE.
Peak positions follow from Bragg's law for the DFT cell and can differ from measured ones.

The 6 most intense peaks (2θ from 10° to 80°), sorted by position:
hkl 0 0 2, 2θ = 13.35°, rel. 100.0
hkl 0 2 2, 2θ = 33.16°, rel. 82.5
hkl 0 2 4, 2θ = 40.88°, rel. 68.5
hkl 2 0 6, 2θ = 51.61°, rel. 22.1
hkl 2 2 0, 2θ = 53.67°, rel. 29.6
hkl 4 0 4, 2θ = 69.60°, rel. 12.3

Atomic structure:
a = 6.8315 Å, b = 6.8315 Å, c = 13.2664 Å
α = 90.00°, β = 90.00°, γ = 120.00°
Space group P-3m1 (No. 164)
Unique sites:
Ca 0.0000 0.0000 0.0000 [1 per cell]
Ti 0.0000 0.0000 0.2670 [2 per cell]
Ti 0.0042 0.5021 0.2628 [6 per cell]
S 0.1667 0.3333 0.8471 [6 per cell]
S 0.1672 0.3343 0.3702 [6 per cell]
S 0.3333 0.6667 0.1531 [2 per cell]
S 0.3333 0.6667 0.6332 [2 per cell]

---

# Rb2TaCl6F
Computed powder diffraction line list, λ = 1.5418 Å (Cu Kα). Input: a crystal structure in Alexandria, relaxed with PBE.
Peak positions follow from Bragg's law for the DFT cell and can differ from measured ones.

The 6 most intense peaks (2θ from 10° to 80°), sorted by position:
hkl 1 0 1, 2θ = 14.62°, rel. 100.0
hkl 2 0 0, 2θ = 23.89°, rel. 41.1
hkl 1 1 2, 2θ = 24.03°, rel. 80.7
hkl 2 2 0, 2θ = 34.04°, rel. 59.1
hkl 3 1 2, 2θ = 42.10°, rel. 34.6
hkl 2 2 4, 2θ = 49.21°, rel. 37.7

Atomic structure:
a = 7.4484 Å, b = 7.4484 Å, c = 10.4152 Å
α = 90.00°, β = 90.00°, γ = 90.00°
Space group I4/mmm (No. 139)
Unique sites:
Rb 0.0000 0.5000 0.2500 [4 per cell]
Ta 0.0000 0.0000 0.0000 [2 per cell]
Cl 0.0000 0.0000 0.2284 [4 per cell]
Cl 0.2262 0.2262 0.0000 [8 per cell]
F 0.0000 0.0000 0.5000 [2 per cell]

---

# Er2PdPt3
Computed powder diffraction line list, λ = 1.5418 Å (Cu Kα). Input: a crystal structure in Alexandria, relaxed with PBE.
Peak positions follow from Bragg's law for the DFT cell and can differ from measured ones.

The 6 most intense peaks (2θ from 10° to 80°), sorted by position:
hkl 0 0 4, 2θ = 37.00°, rel. 56.0
hkl 0 6 2, 2θ = 38.09°, rel. 100.0
hkl 4 2 2, 2θ = 38.31°, rel. 92.0
hkl 4 4 0, 2θ = 38.67°, rel. 51.2
hkl 4 4 4, 2θ = 54.59°, rel. 37.6
hkl 0 12 0, 2θ = 69.48°, rel. 27.5

Atomic structure:
a = 11.3778 Å, b = 16.2193 Å, c = 9.7182 Å
α = 90.00°, β = 90.00°, γ = 90.00°
Space group Fdd2 (No. 43)
Unique sites:
Er 0.1229 0.0781 0.0000 [16 per cell]
Er 0.1231 0.3339 0.7562 [16 per cell]
Pd 0.1253 0.1638 0.7570 [16 per cell]
Pt 0.0000 0.0000 0.2626 [8 per cell]
Pt 0.0000 0.0000 0.7484 [8 per cell]
Pt 0.0010 0.2506 0.0037 [16 per cell]
Pt 0.1248 0.1566 0.2490 [16 per cell]

---

# Tb5Nd2Th3
Computed powder diffraction line list, λ = 1.5418 Å (Cu Kα). Input: a crystal structure in Alexandria, relaxed with PBE.
Peak positions follow from Bragg's law for the DFT cell and can differ from measured ones.

The 6 most intense peaks (2θ from 10° to 80°), sorted by position:
hkl 1 1 3, 2θ = 30.50°, rel. 100.0
hkl 0 2 2, 2θ = 35.28°, rel. 34.0
hkl 2 1 0, 2θ = 35.52°, rel. 16.7
hkl 2 3 2, 2θ = 50.93°, rel. 24.2
hkl 1 4 1, 2θ = 60.32°, rel. 14.6
hkl 1 3 -5, 2θ = 60.42°, rel. 14.5

Atomic structure:
a = 5.0540 Å, b = 6.2306 Å, c = 11.3665 Å
α = 89.93°, β = 89.98°, γ = 66.07°
Space group P-1 (No. 2)
Unique sites:
Tb 0.0000 0.0000 0.0000 [1 per cell]
Tb 0.2005 0.5989 0.4025 [2 per cell]
Tb 0.3005 0.3984 0.1030 [2 per cell]
Nd 0.4026 0.1957 0.7975 [2 per cell]
Th 0.0987 0.8033 0.6970 [2 per cell]
Th 0.5000 0.0000 0.5000 [1 per cell]

---

# Sm3Ho5Sc3
Computed powder diffraction line list, λ = 1.5418 Å (Cu Kα). Input: a crystal structure in Alexandria, relaxed with PBE.
Peak positions follow from Bragg's law for the DFT cell and can differ from measured ones.

The 6 most intense peaks (2θ from 10° to 80°), sorted by position:
hkl 2 1 0, 2θ = 25.09°, rel. 95.2
hkl 0 0 1, 2θ = 26.35°, rel. 100.0
hkl 3 0 0, 2θ = 28.52°, rel. 85.9
hkl 2 1 1, 2θ = 36.71°, rel. 96.4
hkl 2 2 1, 2θ = 42.75°, rel. 97.3
hkl 6 0 1, 2θ = 65.78°, rel. 80.2

Atomic structure:
a = 10.8412 Å, b = 10.8412 Å, c = 3.3822 Å
α = 90.00°, β = 90.00°, γ = 120.00°
Space group P-62m (No. 189)
Unique sites:
Sm 0.0000 0.3444 0.0000 [3 per cell]
Ho 0.0000 0.8341 0.0000 [3 per cell]
Ho 0.3333 0.6667 0.0000 [2 per cell]
Sc 0.0000 0.5913 0.5000 [3 per cell]

---

# RbRe4
Computed powder diffraction line list, λ = 1.5418 Å (Cu Kα). Input: a crystal structure in Alexandria, relaxed with PBE.
Peak positions follow from Bragg's law for the DFT cell and can differ from measured ones.

The 6 most intense peaks (2θ from 10° to 80°), sorted by position:
hkl 1 0 0, 2θ = 19.43°, rel. 5.6
hkl 1 1 1, 2θ = 33.99°, rel. 100.0
hkl 2 0 0, 2θ = 39.45°, rel. 80.5
hkl 2 2 0, 2θ = 57.02°, rel. 55.5
hkl 3 1 1, 2θ = 68.07°, rel. 41.3
hkl 2 2 2, 2θ = 71.54°, rel. 18.9

Atomic structure:
a = 4.5684 Å, b = 4.5684 Å, c = 4.5684 Å
α = 90.00°, β = 90.00°, γ = 90.00°
Space group Pm-3m (No. 221)
Unique sites:
Rb 0.0000 0.0000 0.0000 [1 per cell]
Re 0.0000 0.0000 0.5000 [3 per cell]
Re 0.5000 0.5000 0.5000 [1 per cell]